Starting from a crystal structure in the Materials Project, relaxed with PBE+U, the X-ray diffraction stick pattern of Li3V2Cr2O8 was calculated for Cu Kα X-rays.
No peak broadening, texture or thermal motion is included.

Principal peaks in the range 2θ from 10° to 80°, by angle:
2θ/deg  Rel. int.  h k l
18.37  81  0 0 1
18.60  100  1 0 1
35.47  12  1 0 -1
35.79  15  1 2 1
36.03  23  1 -1 2
43.26  45  2 0 0
43.63  44  2 2 2
43.75  43  0 2 -2
62.49  12  0 2 2
63.12  12  2 2 -2
63.34  23  2 -2 2
63.65  12  2 4 0

Cell and atoms:
```
data_Li3V2Cr2O8
_space_group_name_H-M_alt 'P -1'
_space_group_IT_number 2
_cell_length_a 5.8381
_cell_length_b 5.8482
_cell_length_c 5.8724
_cell_angle_alpha 89.84
_cell_angle_beta 60.43
_cell_angle_gamma 60.36
loop_
_space_group_symop_operation_xyz
'x,y,z'
'-x,-y,-z'
loop_
_atom_site_label
_atom_site_fract_x
_atom_site_fract_y
_atom_site_fract_z
Li1 0.0000 0.0000 0.0000
Li2 0.0000 0.0000 0.5000
Li3 0.5000 0.0000 0.0000
V1 0.0000 0.5000 0.5000
V2 0.5000 0.5000 0.5000
Cr1 0.0000 0.5000 0.0000
Cr2 0.5000 0.0000 0.5000
O1 0.0162 0.7282 0.7418
O2 0.0288 0.2524 0.7335
O3 0.4788 0.2591 0.7388
O4 0.4800 0.2594 0.2801
```